Simulated X-ray diffraction stick pattern of Pu2GeO11 for CuKα, from the GGA-PBE geometry in Alexandria.
Kinematic intensities with the Lorentz-polarization factor, no thermal factor.

```
data_Pu2GeO11
_symmetry_space_group_name_H-M 'I m a 2'
_symmetry_Int_Tables_number 46
_cell_length_a 9.839
_cell_length_b 9.796
_cell_length_c 9.596
_cell_angle_alpha 90.00
_cell_angle_beta 90.00
_cell_angle_gamma 90.00
loop_
_symmetry_equiv_pos_as_xyz
'x,y,z'
'-x,-y,z'
'-x+1/2,y,z'
'x+1/2,-y,z'
'x+1/2,y+1/2,z+1/2'
'-x+1/2,-y+1/2,z+1/2'
'-x,y+1/2,z+1/2'
'x,-y+1/2,z+1/2'
loop_
_atom_site_label
_atom_site_type_symbol
_atom_site_fract_x
_atom_site_fract_y
_atom_site_fract_z
Pu1 Pu 0.250 0.081 0.000
Pu2 Pu 0.250 0.652 0.985
Ge1 Ge 0.000 0.000 0.735
O1 O 0.101 0.607 0.128
O2 O 0.109 0.095 0.844
O3 O 0.116 0.671 0.856
O4 O 0.117 0.089 0.131
O5 O 0.250 0.095 0.418
O6 O 0.250 0.166 0.530
O7 O 0.250 0.631 0.505
```

Peak list (12 most intense, 10 to 90 degrees two-theta, in order of rising 2θ)
d [Å]	intensity
4.917	41
4.798	33
3.989	100
3.435	63
3.094	17
2.620	28
2.584	18
2.190	19
2.074	26
1.923	10
1.717	11
1.586	13

---

Simulated X-ray diffraction stick pattern of Ce4TeAs2S for CuKα, from the GGA-PBE geometry in Alexandria.
Kinematic intensities with the Lorentz-polarization factor, no thermal factor.

```
data_Ce4TeAs2S
_symmetry_space_group_name_H-M 'I m m a'
_symmetry_Int_Tables_number 74
_symmetry_space_group_name_Hall '-I 2b 2'
_cell_length_a 8.460
_cell_length_b 8.553
_cell_length_c 12.034
_cell_angle_alpha 90.00
_cell_angle_beta 90.00
_cell_angle_gamma 90.00
loop_
_atom_site_label
_atom_site_type_symbol
_atom_site_fract_x
_atom_site_fract_y
_atom_site_fract_z
Ce1 Ce 0.000 0.015 0.248
Ce2 Ce 0.246 0.250 0.008
Te1 Te 0.250 0.250 0.750
As1 As 0.000 0.000 0.500
As2 As 0.250 0.250 0.250
S1 S 0.000 0.000 0.000
```

Peak list (12 most intense, 10 to 90 degrees two-theta, in order of rising 2θ)
d [Å]	intensity
3.486	7
3.460	7
3.008	100
2.138	12
2.127	49
2.115	12
1.743	13
1.730	13
1.504	12
1.345	21
1.232	8
1.223	8

---

Simulated X-ray diffraction stick pattern of Li3Mg3Al5 for CuKα, from the GGA-PBE geometry in Alexandria.
Kinematic intensities with the Lorentz-polarization factor, no thermal factor.

```
data_Li3Mg3Al5
_symmetry_space_group_name_H-M 'P -6 2 m'
_symmetry_Int_Tables_number 189
_symmetry_space_group_name_Hall 'P -6 -2'
_cell_length_a 9.2993
_cell_length_b 9.2993
_cell_length_c 2.8614
_cell_angle_alpha 90.00
_cell_angle_beta 90.00
_cell_angle_gamma 120.00
loop_
_atom_site_label
_atom_site_type_symbol
_atom_site_fract_x
_atom_site_fract_y
_atom_site_fract_z
Li1 Li 0.0000 0.1561 0.0000
Mg1 Mg 0.0000 0.4086 0.5000
Al1 Al 0.0000 0.6707 0.0000
Al2 Al 0.3333 0.6667 0.0000
```

Peak list (12 most intense, 10 to 90 degrees two-theta, in order of rising 2θ)
d [Å]	intensity
8.053	59
3.044	26
2.684	100
2.437	92
2.332	28
2.234	40
1.958	27
1.804	27
1.551	26
1.363	20
1.263	18
1.215	17

---

Simulated X-ray diffraction stick pattern of La9Dy4In11 for CuKα, from the GGA-PBE geometry in Alexandria.
Kinematic intensities with the Lorentz-polarization factor, no thermal factor.

```
data_La9Dy4In11
_symmetry_space_group_name_H-M 'C m m m'
_symmetry_Int_Tables_number 65
_symmetry_space_group_name_Hall '-C 2 2'
_cell_length_a 17.911
_cell_length_b 22.814
_cell_length_c 3.504
_cell_angle_alpha 90.00
_cell_angle_beta 90.00
_cell_angle_gamma 90.00
loop_
_atom_site_label
_atom_site_type_symbol
_atom_site_fract_x
_atom_site_fract_y
_atom_site_fract_z
La1 La 0.000 0.000 0.000
La2 La 0.111 0.247 0.000
La3 La 0.133 0.418 0.000
Dy1 Dy 0.148 0.096 0.000
In1 In 0.000 0.135 0.500
In2 In 0.000 0.344 0.500
In3 In 0.000 0.500 0.500
In4 In 0.235 0.000 0.500
In5 In 0.247 0.318 0.500
```

Peak list (12 most intense, 10 to 90 degrees two-theta, in order of rising 2θ)
d [Å]	intensity
2.898	100
2.832	18
2.760	90
2.645	11
2.577	66
2.239	21
2.231	11
1.752	17
1.690	22
1.610	12
1.566	13
1.499	29

---

Simulated X-ray diffraction stick pattern of PaSe2F for CuKα, from the GGA-PBE geometry in Alexandria.
Kinematic intensities with the Lorentz-polarization factor, no thermal factor.

```
data_PaSe2F
_symmetry_space_group_name_H-M 'P m m n'
_symmetry_Int_Tables_number 59
_cell_length_a 4.566
_cell_length_b 12.757
_cell_length_c 4.117
_cell_angle_alpha 90.00
_cell_angle_beta 90.00
_cell_angle_gamma 90.00
loop_
_symmetry_equiv_pos_as_xyz
'x,y,z'
'-x,-y,-z'
'-x+1/2,-y+1/2,z'
'x+1/2,y+1/2,-z'
'x+1/2,-y,-z'
'-x+1/2,y,z'
'-x,y+1/2,-z'
'x,-y+1/2,z'
loop_
_atom_site_label
_atom_site_type_symbol
_atom_site_fract_x
_atom_site_fract_y
_atom_site_fract_z
Pa1 Pa 0.250 0.250 0.250
Se1 Se 0.250 0.109 0.750
F1 F 0.250 0.750 0.749
```

Peak list (12 most intense, 10 to 90 degrees two-theta, in order of rising 2θ)
d [Å]	intensity
6.379	59
4.299	100
3.918	17
2.958	63
2.757	39
2.283	17
2.207	47
2.169	15
2.058	12
1.857	22
1.807	30
1.307	20